No. 1
Starting from a DFT-relaxed cell (GGA-PBE, the Materials Project), the powder diffractogram of La4MgTi3O12 was calculated for copper Kα.
Peak positions follow from Bragg's law for the DFT cell and can differ from measured ones.

Cell and atoms:
```
data_La4MgTi3O12
_symmetry_space_group_name_H-M 'P 1'
_symmetry_Int_Tables_number 1
_cell_length_a 5.597
_cell_length_b 5.659
_cell_length_c 7.936
_cell_angle_alpha 90.11
_cell_angle_beta 90.00
_cell_angle_gamma 90.17
loop_
_symmetry_equiv_pos_as_xyz
'x,y,z'
loop_
_atom_site_label
_atom_site_type_symbol
_atom_site_fract_x
_atom_site_fract_y
_atom_site_fract_z
_atom_site_occupancy
La1 La 0.007 0.039 0.253 1
La2 La 0.493 0.543 0.254 1
La3 La 0.507 0.457 0.746 1
La4 La 0.993 0.961 0.747 1
Mg1 Mg 0.500 0.000 0.500 1
Ti1 Ti 0.000 0.500 0.000 1
Ti2 Ti 0.000 0.500 0.500 1
Ti3 Ti 0.500 0.000 0.000 1
O1 O 0.076 0.518 0.749 1
O2 O 0.199 0.789 0.457 1
O3 O 0.216 0.785 0.040 1
O4 O 0.286 0.285 0.042 1
O5 O 0.290 0.302 0.459 1
O6 O 0.418 0.022 0.755 1
O7 O 0.582 0.978 0.245 1
O8 O 0.710 0.698 0.541 1
O9 O 0.714 0.715 0.958 1
O10 O 0.784 0.215 0.960 1
O11 O 0.801 0.211 0.543 1
O12 O 0.924 0.482 0.251 1
```

Largest 10 diffraction maxima, sorted by position, 2θ = 15–90°:
two_theta	d_spacing	I/Imax
22.36	3.975	43.5
31.62	2.829	22.5
31.85	2.810	100.0
31.98	2.799	24.9
39.10	2.304	15.8
39.40	2.287	18.4
45.52	1.993	13.4
45.70	1.985	29.4
56.43	1.630	10.2
56.89	1.618	28.8

***

No. 2
Starting from a DFT-relaxed cell (GGA-PBE, the Materials Project), the powder diffractogram of La4MgTi4O10 was calculated for copper Kα.
Peak positions follow from Bragg's law for the DFT cell and can differ from measured ones.

Cell and atoms:
```
data_La4MgTi4O10
_symmetry_space_group_name_H-M 'P 1'
_symmetry_Int_Tables_number 1
_cell_length_a 5.532
_cell_length_b 5.721
_cell_length_c 9.201
_cell_angle_alpha 73.07
_cell_angle_beta 72.55
_cell_angle_gamma 89.96
loop_
_symmetry_equiv_pos_as_xyz
'x,y,z'
loop_
_atom_site_label
_atom_site_type_symbol
_atom_site_fract_x
_atom_site_fract_y
_atom_site_fract_z
_atom_site_occupancy
La1 La 0.000 0.000 0.000 1
La2 La 0.215 0.233 0.571 1
La3 La 0.552 0.571 0.895 1
La4 La 0.769 0.801 0.469 1
Mg1 Mg 0.385 0.402 0.232 1
Ti1 Ti 0.135 0.679 0.733 1
Ti2 Ti 0.385 0.901 0.233 1
Ti3 Ti 0.632 0.119 0.738 1
Ti4 Ti 0.884 0.400 0.235 1
O1 O 0.010 0.586 0.980 1
O2 O 0.119 0.637 0.263 1
O3 O 0.146 0.163 0.209 1
O4 O 0.254 0.834 0.492 1
O5 O 0.378 0.395 0.737 1
O6 O 0.513 0.971 0.980 1
O7 O 0.620 0.637 0.264 1
O8 O 0.647 0.162 0.210 1
O9 O 0.755 0.214 0.492 1
O10 O 0.883 0.402 0.733 1
```

Largest 10 diffraction maxima, sorted by position, 2θ = 15–90°:
two_theta	d_spacing	I/Imax
22.36	3.976	31.0
30.67	2.915	17.5
30.80	2.903	33.7
31.28	2.860	100.0
32.37	2.766	33.8
44.36	2.042	10.5
45.22	2.005	14.1
45.63	1.988	47.5
57.05	1.614	10.5
65.23	1.430	10.2

***

No. 3
Starting from a DFT-relaxed cell (GGA-PBE, the Materials Project), the powder diffractogram of LaMg2TiO6 was calculated for copper Kα.
Peak positions follow from Bragg's law for the DFT cell and can differ from measured ones.

Cell and atoms:
```
data_LaMg2TiO6
_symmetry_space_group_name_H-M 'P 1'
_symmetry_Int_Tables_number 1
_cell_length_a 5.965
_cell_length_b 5.965
_cell_length_c 5.965
_cell_angle_alpha 60.00
_cell_angle_beta 60.00
_cell_angle_gamma 60.00
loop_
_symmetry_equiv_pos_as_xyz
'x,y,z'
loop_
_atom_site_label
_atom_site_type_symbol
_atom_site_fract_x
_atom_site_fract_y
_atom_site_fract_z
_atom_site_occupancy
La1 La 0.000 0.000 0.000 1
Mg1 Mg 0.250 0.250 0.250 1
Mg2 Mg 0.750 0.750 0.750 1
Ti1 Ti 0.500 0.500 0.500 1
O1 O 0.270 0.270 0.730 1
O2 O 0.270 0.730 0.270 1
O3 O 0.270 0.730 0.730 1
O4 O 0.730 0.270 0.270 1
O5 O 0.730 0.270 0.730 1
O6 O 0.730 0.730 0.270 1
```

Largest 10 diffraction maxima, sorted by position, 2θ = 15–90°:
two_theta	d_spacing	I/Imax
18.21	4.870	28.7
21.06	4.218	84.3
29.96	2.983	100.0
35.29	2.543	26.9
42.88	2.109	47.1
48.25	1.886	32.0
53.19	1.722	38.9
62.26	1.491	26.9
70.62	1.334	18.2
86.29	1.127	20.9

***

No. 4
Starting from a DFT-relaxed cell (GGA-PBE, the Materials Project), the powder diffractogram of La4MgTi3O12 was calculated for copper Kα.
Peak positions follow from Bragg's law for the DFT cell and can differ from measured ones.

Cell and atoms:
```
data_La4MgTi3O12
_symmetry_space_group_name_H-M 'P 1'
_symmetry_Int_Tables_number 1
_cell_length_a 9.775
_cell_length_b 9.775
_cell_length_c 9.775
_cell_angle_alpha 33.63
_cell_angle_beta 33.63
_cell_angle_gamma 33.63
loop_
_symmetry_equiv_pos_as_xyz
'x,y,z'
loop_
_atom_site_label
_atom_site_type_symbol
_atom_site_fract_x
_atom_site_fract_y
_atom_site_fract_z
_atom_site_occupancy
La1 La 0.134 0.134 0.134 1
La2 La 0.279 0.279 0.279 1
La3 La 0.721 0.721 0.721 1
La4 La 0.866 0.866 0.866 1
Mg1 Mg 0.500 0.500 0.500 1
Ti1 Ti 0.000 0.000 0.000 1
Ti2 Ti 0.407 0.407 0.407 1
Ti3 Ti 0.593 0.593 0.593 1
O1 O 0.128 0.541 0.699 1
O2 O 0.137 0.707 0.278 1
O3 O 0.278 0.137 0.707 1
O4 O 0.293 0.722 0.863 1
O5 O 0.301 0.872 0.459 1
O6 O 0.459 0.301 0.872 1
O7 O 0.541 0.699 0.128 1
O8 O 0.699 0.128 0.541 1
O9 O 0.707 0.278 0.137 1
O10 O 0.722 0.863 0.293 1
O11 O 0.863 0.293 0.722 1
O12 O 0.872 0.459 0.301 1
```

Largest 10 diffraction maxima, sorted by position, 2θ = 15–90°:
two_theta	d_spacing	I/Imax
19.23	4.616	14.5
24.28	3.666	12.9
29.05	3.074	77.2
31.65	2.827	100.0
40.28	2.239	13.5
43.48	2.081	47.5
54.76	1.676	26.0
56.36	1.633	29.3
59.91	1.544	14.1
66.08	1.414	12.8

***

No. 5
Starting from a DFT-relaxed cell (GGA-PBE, the Materials Project), the powder diffractogram of La4MgTi4O10 was calculated for copper Kα.
Peak positions follow from Bragg's law for the DFT cell and can differ from measured ones.

Cell and atoms:
```
data_La4MgTi4O10
_symmetry_space_group_name_H-M 'P 1'
_symmetry_Int_Tables_number 1
_cell_length_a 9.199
_cell_length_b 9.199
_cell_length_c 5.587
_cell_angle_alpha 107.64
_cell_angle_beta 107.64
_cell_angle_gamma 128.32
loop_
_symmetry_equiv_pos_as_xyz
'x,y,z'
loop_
_atom_site_label
_atom_site_type_symbol
_atom_site_fract_x
_atom_site_fract_y
_atom_site_fract_z
_atom_site_occupancy
La1 La 0.111 0.889 0.000 1
La2 La 0.364 0.696 0.034 1
La3 La 0.696 0.364 0.034 1
La4 La 0.889 0.111 0.000 1
Mg1 Mg 0.398 0.398 0.893 1
Ti1 Ti 0.249 0.747 0.500 1
Ti2 Ti 0.507 0.507 0.500 1
Ti3 Ti 0.747 0.249 0.500 1
Ti4 Ti 0.895 0.895 0.399 1
O1 O 0.003 0.474 0.995 1
O2 O 0.004 0.473 0.485 1
O3 O 0.060 0.811 0.440 1
O4 O 0.177 0.177 0.409 1
O5 O 0.183 0.183 0.949 1
O6 O 0.418 0.664 0.538 1
O7 O 0.473 0.004 0.485 1
O8 O 0.474 0.003 0.995 1
O9 O 0.664 0.418 0.538 1
O10 O 0.811 0.060 0.440 1
```

Largest 10 diffraction maxima, sorted by position, 2θ = 15–90°:
two_theta	d_spacing	I/Imax
22.16	4.012	34.4
31.04	2.881	100.0
31.15	2.871	23.3
31.40	2.849	23.5
32.04	2.793	35.4
44.73	2.026	13.5
45.20	2.006	33.5
45.29	2.002	19.6
55.23	1.663	20.8
62.12	1.494	13.8

***

No. 6
Starting from a DFT-relaxed cell (GGA-PBE, the Materials Project), the powder diffractogram of La2MgZrO6 was calculated for copper Kα.
Peak positions follow from Bragg's law for the DFT cell and can differ from measured ones.

Cell and atoms:
```
data_La2MgZrO6
_symmetry_space_group_name_H-M 'P 1'
_symmetry_Int_Tables_number 1
_cell_length_a 5.741
_cell_length_b 5.741
_cell_length_c 5.741
_cell_angle_alpha 60.00
_cell_angle_beta 60.00
_cell_angle_gamma 60.00
loop_
_symmetry_equiv_pos_as_xyz
'x,y,z'
loop_
_atom_site_label
_atom_site_type_symbol
_atom_site_fract_x
_atom_site_fract_y
_atom_site_fract_z
_atom_site_occupancy
La1 La 0.250 0.250 0.250 1
La2 La 0.750 0.750 0.750 1
Mg1 Mg 0.000 0.000 0.000 1
Zr1 Zr 0.500 0.500 0.500 1
O1 O 0.246 0.246 0.754 1
O2 O 0.246 0.754 0.246 1
O3 O 0.246 0.754 0.754 1
O4 O 0.754 0.246 0.246 1
O5 O 0.754 0.246 0.754 1
O6 O 0.754 0.754 0.246 1
```

Largest 10 diffraction maxima, sorted by position, 2θ = 15–90°:
two_theta	d_spacing	I/Imax
18.93	4.687	7.6
21.89	4.059	12.7
31.16	2.870	100.0
38.41	2.344	18.7
44.64	2.030	33.6
50.26	1.815	6.6
55.44	1.657	39.8
64.98	1.435	20.2
73.82	1.284	17.1
82.27	1.172	6.7

***

No. 7
Starting from a DFT-relaxed cell (GGA-PBE, the Materials Project), the powder diffractogram of La2MgZr2O8 was calculated for copper Kα.
Peak positions follow from Bragg's law for the DFT cell and can differ from measured ones.

Cell and atoms:
```
data_La2MgZr2O8
_symmetry_space_group_name_H-M 'P 1'
_symmetry_Int_Tables_number 1
_cell_length_a 6.722
_cell_length_b 6.722
_cell_length_c 6.722
_cell_angle_alpha 131.52
_cell_angle_beta 131.52
_cell_angle_gamma 70.99
loop_
_symmetry_equiv_pos_as_xyz
'x,y,z'
loop_
_atom_site_label
_atom_site_type_symbol
_atom_site_fract_x
_atom_site_fract_y
_atom_site_fract_z
_atom_site_occupancy
La1 La 0.000 0.500 0.500 1
La2 La 0.500 0.000 0.500 1
Mg1 Mg 0.000 0.000 0.000 1
Zr1 Zr 0.278 0.278 0.000 1
Zr2 Zr 0.722 0.722 0.000 1
O1 O 0.113 0.113 0.489 1
O2 O 0.113 0.624 0.000 1
O3 O 0.376 0.376 0.489 1
O4 O 0.376 0.887 0.000 1
O5 O 0.624 0.113 0.000 1
O6 O 0.624 0.624 0.511 1
O7 O 0.887 0.376 0.000 1
O8 O 0.887 0.887 0.511 1
```

Largest 10 diffraction maxima, sorted by position, 2θ = 15–90°:
two_theta	d_spacing	I/Imax
28.08	3.178	100.0
32.44	2.760	23.4
32.72	2.737	8.7
46.54	1.951	25.4
46.75	1.943	42.7
55.24	1.663	29.6
55.61	1.653	9.3
58.05	1.589	7.9
67.93	1.380	7.5
86.51	1.125	12.8

***

No. 8
Starting from a DFT-relaxed cell (GGA-PBE, the Materials Project), the powder diffractogram of LaMgPd was calculated for copper Kα.
Peak positions follow from Bragg's law for the DFT cell and can differ from measured ones.

Cell and atoms:
```
data_LaMgPd
_symmetry_space_group_name_H-M 'P 1'
_symmetry_Int_Tables_number 1
_cell_length_a 7.771
_cell_length_b 7.771
_cell_length_c 4.163
_cell_angle_alpha 90.00
_cell_angle_beta 90.00
_cell_angle_gamma 120.00
loop_
_symmetry_equiv_pos_as_xyz
'x,y,z'
loop_
_atom_site_label
_atom_site_type_symbol
_atom_site_fract_x
_atom_site_fract_y
_atom_site_fract_z
_atom_site_occupancy
La1 La 0.000 0.585 0.000 1
La2 La 0.415 0.415 0.000 1
La3 La 0.585 0.000 0.000 1
Mg1 Mg 0.000 0.238 0.500 1
Mg2 Mg 0.238 0.000 0.500 1
Mg3 Mg 0.762 0.762 0.500 1
Pd1 Pd 0.000 0.000 0.000 1
Pd2 Pd 0.333 0.667 0.500 1
Pd3 Pd 0.667 0.333 0.500 1
```

Largest 10 diffraction maxima, sorted by position, 2θ = 15–90°:
two_theta	d_spacing	I/Imax
22.89	3.886	34.2
26.49	3.365	22.1
31.49	2.841	77.5
34.26	2.617	100.0
35.28	2.544	22.8
40.20	2.243	29.3
41.61	2.171	25.6
43.47	2.082	21.7
53.83	1.703	22.9
64.36	1.448	23.4

***

No. 9
Starting from a DFT-relaxed cell (GGA-PBE, the Materials Project), the powder diffractogram of LaMg2Pd was calculated for copper Kα.
Peak positions follow from Bragg's law for the DFT cell and can differ from measured ones.

Cell and atoms:
```
data_LaMg2Pd
_symmetry_space_group_name_H-M 'P 1'
_symmetry_Int_Tables_number 1
_cell_length_a 4.339
_cell_length_b 10.527
_cell_length_c 8.406
_cell_angle_alpha 90.00
_cell_angle_beta 90.00
_cell_angle_gamma 90.00
loop_
_symmetry_equiv_pos_as_xyz
'x,y,z'
loop_
_atom_site_label
_atom_site_type_symbol
_atom_site_fract_x
_atom_site_fract_y
_atom_site_fract_z
_atom_site_occupancy
La1 La 0.000 0.061 0.250 1
La2 La 0.000 0.939 0.750 1
La3 La 0.500 0.439 0.750 1
La4 La 0.500 0.561 0.250 1
Mg1 Mg 0.000 0.347 0.054 1
Mg2 Mg 0.000 0.347 0.446 1
Mg3 Mg 0.000 0.653 0.554 1
Mg4 Mg 0.000 0.653 0.946 1
Mg5 Mg 0.500 0.153 0.554 1
Mg6 Mg 0.500 0.153 0.946 1
Mg7 Mg 0.500 0.847 0.054 1
Mg8 Mg 0.500 0.847 0.446 1
Pd1 Pd 0.000 0.224 0.750 1
Pd2 Pd 0.000 0.776 0.250 1
Pd3 Pd 0.500 0.276 0.250 1
Pd4 Pd 0.500 0.724 0.750 1
```

Largest 10 diffraction maxima, sorted by position, 2θ = 15–90°:
two_theta	d_spacing	I/Imax
21.14	4.203	72.8
22.16	4.011	40.6
30.81	2.902	76.1
34.56	2.595	100.0
35.75	2.512	41.6
41.63	2.169	26.0
43.04	2.102	17.6
46.46	1.955	39.2
56.01	1.642	24.2
65.17	1.431	18.8

***

No. 10
Starting from a DFT-relaxed cell (GGA-PBE, the Materials Project), the powder diffractogram of LaPmMg2 was calculated for copper Kα.
Peak positions follow from Bragg's law for the DFT cell and can differ from measured ones.

Cell and atoms:
```
data_LaPmMg2
_symmetry_space_group_name_H-M 'P 1'
_symmetry_Int_Tables_number 1
_cell_length_a 7.808
_cell_length_b 7.808
_cell_length_c 7.808
_cell_angle_alpha 90.00
_cell_angle_beta 90.00
_cell_angle_gamma 90.00
loop_
_symmetry_equiv_pos_as_xyz
'x,y,z'
loop_
_atom_site_label
_atom_site_type_symbol
_atom_site_fract_x
_atom_site_fract_y
_atom_site_fract_z
_atom_site_occupancy
La1 La 0.000 0.000 0.000 1
La2 La 0.000 0.500 0.500 1
La3 La 0.500 0.000 0.500 1
La4 La 0.500 0.500 0.000 1
Pm1 Pm 0.000 0.000 0.500 1
Pm2 Pm 0.000 0.500 0.000 1
Pm3 Pm 0.500 0.000 0.000 1
Pm4 Pm 0.500 0.500 0.500 1
Mg1 Mg 0.250 0.250 0.250 1
Mg2 Mg 0.250 0.250 0.750 1
Mg3 Mg 0.250 0.750 0.250 1
Mg4 Mg 0.250 0.750 0.750 1
Mg5 Mg 0.750 0.250 0.250 1
Mg6 Mg 0.750 0.250 0.750 1
Mg7 Mg 0.750 0.750 0.250 1
Mg8 Mg 0.750 0.750 0.750 1
```

Largest 10 diffraction maxima, sorted by position, 2θ = 15–90°:
two_theta	d_spacing	I/Imax
22.78	3.904	58.1
32.43	2.761	100.0
40.00	2.254	18.0
46.52	1.952	18.2
52.41	1.746	24.9
57.85	1.594	37.8
67.91	1.380	11.6
72.66	1.301	11.8
77.28	1.235	16.0
81.83	1.177	7.0